BaNaSr6Pt: simulated X-ray diffraction stick pattern (a wavelength of 1.5418 Å), based on a GGA-PBE-relaxed structure.
Peak positions follow from Bragg's law for the DFT cell and can differ from measured ones.

Peak list (10 most intense, 2θ from 10° to 80°, by angle)
- 2θ = 10.39°, rel. 63
- 2θ = 12.60°, rel. 41
- 2θ = 16.36°, rel. 53
- 2θ = 23.24°, rel. 21
- 2θ = 25.35°, rel. 48
- 2θ = 25.47°, rel. 47
- 2θ = 29.09°, rel. 52
- 2θ = 29.58°, rel. 100
- 2θ = 41.97°, rel. 77
- 2θ = 52.05°, rel. 20

Structure:
a b c (Å): 7.485 7.489 8.511
angles (deg): 90.06 90.05 110.16
Fractional positions:
Ba: 0.000 0.000 0.000
Na: 0.002 0.996 0.500
Sr: 0.500 0.499 0.500
Sr: 0.507 0.493 0.000
Sr: 0.509 0.003 0.250
Sr: 0.509 0.003 0.749
Sr: 0.996 0.491 0.251
Sr: 0.996 0.491 0.749
Pt: 0.750 0.250 0.000